[1]
Diffraction record for SiO2. The X-ray powder pattern is theoretical, not measured: it uses a structure optimized by DFT (PBE) and Cu Kα X-rays.

Structure:
Cell lengths 14.2160, 13.7856, 7.5356 Å; angles 90.00, 102.18, 90.00 degrees
Space group C2/m (No. 12)
Inequivalent atoms, fractional coordinates:
Si 0.1016 0.1137 0.4531 [8 per cell]
Si 0.1117 0.2222 0.0859 [8 per cell]
Si 0.2317 0.1130 0.8442 [8 per cell]
O 0.0000 0.1483 0.5000 [4 per cell]
O 0.0000 0.2461 0.0000 [4 per cell]
O 0.0946 0.0000 0.3919 [4 per cell]
O 0.1245 0.1793 0.2898 [8 per cell]
O 0.1509 0.1429 0.9586 [8 per cell]
O 0.1717 0.3227 0.0927 [8 per cell]
O 0.1886 0.1296 0.6286 [8 per cell]
O 0.2395 0.5000 0.1156 [4 per cell]

Principal peaks in the range 2θ from 5° to 70°, sorted by position:
2θ 9.04, I 100; 2θ 12.74, I 9; 2θ 12.84, I 15; 2θ 13.93, I 39; 2θ 17.62, I 15; 2θ 19.32, I 17; 2θ 20.23, I 16; 2θ 20.36, I 13; 2θ 21.39, I 13; 2θ 27.11, I 11



[2]
Diffraction record for Sr2MgH6. The X-ray powder pattern is theoretical, not measured: it uses a structure optimized by DFT (PBE) and Cu Kα X-rays.

Structure:
Cell lengths 5.4924, 5.4924, 4.2067 Å; angles 90.00, 90.00, 120.00 degrees
Space group P-3m1 (No. 164)
Inequivalent atoms, fractional coordinates:
Sr 0.3333 0.6667 0.2374 [2 per cell]
Mg 0.0000 0.0000 0.5000 [1 per cell]
H 0.1775 0.3550 0.7351 [6 per cell]

Principal peaks in the range 2θ from 5° to 70°, sorted by position:
2θ 18.65, I 22; 2θ 28.32, I 100; 2θ 32.61, I 59; 2θ 43.72, I 34; 2θ 47.25, I 14; 2θ 54.99, I 14; 2θ 55.59, I 30; 2θ 58.19, I 11; 2θ 58.59, I 7; 2θ 68.68, I 9